Record 1
For HgAuSe2, a DFT-relaxed cell (PBE, Alexandria) gives the simulated powder XRD pattern in this record (Cu Kα (λ = 1.5418 Å)).
Peak positions follow from Bragg's law for the DFT cell and can differ from measured ones.

Main lines, most intense first (5° ≤ 2θ ≤ 70°):
h k l, d_spacing, I_rel
0 4 0, 3.400, 100.0
0 2 1, 2.538, 92.5
2 2 0, 2.512, 89.9
0 2 0, 6.800, 82.5
0 6 1, 1.745, 30.2
2 6 0, 1.737, 29.8
2 4 -1, 1.682, 26.8
2 4 1, 1.666, 26.0
2 0 -1, 1.936, 20.9
2 0 1, 1.910, 20.1

Crystal structure
a b c (Å): 5.407 13.600 2.736
angles (deg): 90.00 90.75 90.00
Space group C2/m (No. 12)
Asymmetric unit:
Hg (0.000, 0.000, 0.000) x2
Au (0.000, 0.500, 0.000) x2
Se (0.250, 0.250, 0.500) x4


Record 2
For HgAuSe2, a DFT-relaxed cell (PBE, Alexandria) gives the simulated powder XRD pattern in this record (Cu Kα (λ = 1.5418 Å)).
Peak positions follow from Bragg's law for the DFT cell and can differ from measured ones.

Main lines, most intense first (5° ≤ 2θ ≤ 70°):
h k l, d_spacing, I_rel
1 2 2, 2.157, 100.0
0 2 1, 3.528, 92.1
1 0 1, 3.509, 91.2
2 2 1, 1.831, 30.0
1 4 1, 1.839, 29.4
1 0 3, 1.842, 28.2
2 0 0, 2.143, 20.7
1 2 0, 3.042, 20.0
0 6 1, 1.401, 17.1
2 4 0, 1.521, 13.2

Crystal structure
a b c (Å): 4.285 8.639 6.113
angles (deg): 90.00 90.00 90.00
Space group Pmn2_1 (No. 31)
Asymmetric unit:
Hg (0.000, 0.132, 0.000) x2
Au (0.000, 0.629, 0.966) x2
Se (0.000, 0.394, 0.244) x2
Se (0.000, 0.864, 0.224) x2


Record 3
For SiHg3Au3, a DFT-relaxed cell (PBE, Alexandria) gives the simulated powder XRD pattern in this record (Cu Kα (λ = 1.5418 Å)).
Peak positions follow from Bragg's law for the DFT cell and can differ from measured ones.

Main lines, most intense first (5° ≤ 2θ ≤ 70°):
h k l, d_spacing, I_rel
0 0 2, 2.739, 100.0
0 4 0, 2.711, 84.4
3 0 1, 2.966, 73.3
4 2 1, 2.183, 69.8
0 4 2, 1.927, 63.5
3 3 0, 2.526, 28.6
3 4 1, 2.002, 26.4
3 1 0, 3.358, 25.7
3 3 2, 1.857, 23.3
4 2 3, 1.449, 19.2

Crystal structure
a b c (Å): 10.594 10.843 5.478
angles (deg): 90.00 90.00 90.00
Space group Pnnm (No. 58)
Asymmetric unit:
Si (0.076, 0.139, 0.000) x4
Hg (0.029, 0.867, 0.500) x4
Hg (0.082, 0.379, 0.500) x4
Hg (0.145, 0.621, 0.000) x4
Au (0.150, 0.902, 0.000) x4
Au (0.165, 0.353, 0.000) x4
Au (0.192, 0.624, 0.500) x4


Record 4
For Sm4Hg2Au, a DFT-relaxed cell (PBE, Alexandria) gives the simulated powder XRD pattern in this record (Cu Kα (λ = 1.5418 Å)).
Peak positions follow from Bragg's law for the DFT cell and can differ from measured ones.

Main lines, most intense first (5° ≤ 2θ ≤ 70°):
h k l, d_spacing, I_rel
1 1 0, 2.625, 100.0
3 0 0, 1.515, 28.2
2 0 8, 1.857, 18.0
1 0 16, 1.519, 8.7
0 0 6, 4.288, 6.4
1 0 1, 4.474, 6.1
0 0 3, 8.594, 5.3
0 1 5, 3.408, 4.2
1 1 9, 1.934, 3.6
1 1 6, 2.240, 2.5

Crystal structure
a b c (Å): 5.2453 5.2453 25.7810
angles (deg): 90.00 90.00 120.00
Space group R-3m (No. 166, hexagonal axes)
Asymmetric unit:
Sm (0.0000, 0.0000, 0.1234) x6
Sm (0.0000, 0.0000, 0.3740) x6
Hg (0.0000, 0.0000, 0.2448) x6
Au (0.0000, 0.0000, 0.0000) x3


Record 5
For Sm2HgAu4, a DFT-relaxed cell (PBE, Alexandria) gives the simulated powder XRD pattern in this record (Cu Kα (λ = 1.5418 Å)).
Peak positions follow from Bragg's law for the DFT cell and can differ from measured ones.

Main lines, most intense first (5° ≤ 2θ ≤ 70°):
h k l, d_spacing, I_rel
1 1 0, 2.538, 100.0
1 0 7, 2.527, 80.2
2 1 7, 1.463, 30.1
0 2 7, 1.790, 29.1
3 0 0, 1.465, 18.9
0 1 8, 2.302, 9.6
0 1 14, 1.457, 7.5
1 1 6, 2.075, 5.6
0 0 6, 3.602, 4.2
1 2 8, 1.415, 4.2

Crystal structure
a b c (Å): 5.0753 5.0753 21.6140
angles (deg): 90.00 90.00 120.00
Space group R-3m (No. 166, hexagonal axes)
Asymmetric unit:
Sm (0.0000, 0.0000, 0.2303) x6
Hg (0.0000, 0.0000, 0.5000) x3
Au (0.0000, 0.0000, 0.0788) x6
Au (0.0000, 0.0000, 0.3668) x6


Record 6
For Sm4Tl2HgAu, a DFT-relaxed cell (PBE, Alexandria) gives the simulated powder XRD pattern in this record (Cu Kα (λ = 1.5418 Å)).
Peak positions follow from Bragg's law for the DFT cell and can differ from measured ones.

Main lines, most intense first (5° ≤ 2θ ≤ 70°):
h k l, d_spacing, I_rel
1 1 0, 2.692, 100.0
3 0 0, 1.554, 37.6
2 0 8, 1.903, 18.2
2 2 0, 1.346, 11.5
1 0 4, 3.807, 2.4
1 1 12, 1.702, 1.2
0 1 17, 1.471, 1.0
0 0 12, 2.198, 0.8
0 0 9, 2.929, 0.8
1 1 9, 1.982, 0.7

Crystal structure
a b c (Å): 5.3865 5.3865 26.3452
angles (deg): 90.00 90.00 120.00
Space group R-3m (No. 166, hexagonal axes)
Asymmetric unit:
Sm (0.0000, 0.0000, 0.1210) x6
Sm (0.0000, 0.0000, 0.3714) x6
Tl (0.0000, 0.0000, 0.2468) x6
Hg (0.0000, 0.0000, 0.5000) x3
Au (0.0000, 0.0000, 0.0000) x3


Record 7
For Sn2Hg3Au4, a DFT-relaxed cell (PBE, Alexandria) gives the simulated powder XRD pattern in this record (Cu Kα (λ = 1.5418 Å)).
Peak positions follow from Bragg's law for the DFT cell and can differ from measured ones.

Main lines, most intense first (5° ≤ 2θ ≤ 70°):
h k l, d_spacing, I_rel
3 1 -1, 2.736, 100.0
4 0 -4, 2.377, 76.7
3 1 0, 2.615, 71.2
1 1 2, 2.529, 66.6
0 2 0, 1.736, 46.8
6 0 -1, 2.155, 39.3
3 1 -3, 2.340, 35.8
4 0 1, 2.513, 33.0
2 0 3, 2.294, 31.6
1 1 -2, 2.852, 30.7

Crystal structure
a b c (Å): 13.336 3.471 10.041
angles (deg): 90.00 116.60 90.00
Space group C2/m (No. 12)
Asymmetric unit:
Sn (0.185, 0.000, 0.329) x4
Hg (0.000, 0.500, 0.000) x2
Hg (0.106, 0.000, 0.733) x4
Au (0.088, 0.500, 0.459) x4
Au (0.190, 0.000, 0.053) x4


Record 8
For Sn3HgAu4, a DFT-relaxed cell (PBE, Alexandria) gives the simulated powder XRD pattern in this record (Cu Kα (λ = 1.5418 Å)).
Peak positions follow from Bragg's law for the DFT cell and can differ from measured ones.

Main lines, most intense first (5° ≤ 2θ ≤ 70°):
h k l, d_spacing, I_rel
1 0 5, 2.914, 100.0
1 0 6, 2.758, 87.8
1 1 0, 1.963, 72.8
1 0 10, 2.175, 41.9
1 0 11, 2.051, 35.1
2 0 5, 1.628, 18.4
2 0 6, 1.599, 17.6
0 0 16, 1.769, 17.4
1 0 8, 2.451, 13.3
1 0 2, 3.306, 12.0

Crystal structure
a b c (Å): 3.9259 3.9259 28.2971
angles (deg): 90.00 90.00 120.00
Space group P6_3/mmc (No. 194)
Asymmetric unit:
Sn (0.0000, 0.0000, 0.0000) x2
Sn (0.3333, 0.6667, 0.1265) x4
Hg (0.3333, 0.6667, 0.7500) x2
Au (0.0000, 0.0000, 0.1860) x4
Au (0.3333, 0.6667, 0.5626) x4


Record 9
For SnHg5Au3, a DFT-relaxed cell (PBE, Alexandria) gives the simulated powder XRD pattern in this record (Cu Kα (λ = 1.5418 Å)).
Peak positions follow from Bragg's law for the DFT cell and can differ from measured ones.

Main lines, most intense first (5° ≤ 2θ ≤ 70°):
h k l, d_spacing, I_rel
3 1 -3, 2.694, 100.0
3 3 -3, 2.169, 73.0
0 4 0, 2.586, 61.2
0 2 3, 2.802, 35.6
0 2 0, 5.171, 32.1
2 0 0, 4.411, 27.1
0 0 3, 3.335, 26.6
4 0 0, 2.205, 23.4
4 4 0, 1.678, 19.7
2 4 -6, 1.478, 19.1

Crystal structure
a b c (Å): 9.532 10.343 10.805
angles (deg): 90.00 112.27 90.00
Space group C2/m (No. 12)
Asymmetric unit:
Sn (0.247, 0.000, 0.249) x4
Hg (0.000, 0.266, 0.000) x4
Hg (0.055, 0.261, 0.680) x8
Hg (0.230, 0.000, 0.893) x4
Hg (0.234, 0.500, 0.396) x4
Au (0.000, 0.000, 0.000) x2
Au (0.000, 0.500, 0.500) x2
Au (0.018, 0.500, 0.854) x4
Au (0.020, 0.000, 0.357) x4


Record 10
For Sn2HgAu3, a DFT-relaxed cell (PBE, Alexandria) gives the simulated powder XRD pattern in this record (Cu Kα (λ = 1.5418 Å)).
Peak positions follow from Bragg's law for the DFT cell and can differ from measured ones.

Main lines, most intense first (5° ≤ 2θ ≤ 70°):
h k l, d_spacing, I_rel
3 1 -1, 2.132, 100.0
1 1 -2, 3.055, 77.5
1 1 -3, 2.490, 65.0
0 2 0, 2.151, 53.2
1 1 3, 2.177, 48.9
1 1 0, 3.680, 41.2
2 0 1, 3.038, 38.2
1 1 2, 2.669, 38.2
2 0 2, 2.482, 31.8
2 0 -4, 2.169, 23.4

Crystal structure
a b c (Å): 7.365 4.302 9.281
angles (deg): 90.00 105.30 90.00
Space group P2_1/m (No. 11)
Asymmetric unit:
Sn (0.033, 0.250, 0.332) x2
Sn (0.253, 0.250, 0.006) x2
Hg (0.472, 0.250, 0.659) x2
Au (0.134, 0.750, 0.165) x2
Au (0.236, 0.750, 0.502) x2
Au (0.355, 0.750, 0.836) x2